Rb8Co3O8: theoretical powder diffractogram (a wavelength of 1.5418 Å), based on the PBE+U geometry in Alexandria.

Top 6 peaks for 10 to 80 degrees two-theta, in order of rising 2θ:
26.98°, rel. 67
27.17°, rel. 30
27.62°, rel. 30
28.78°, rel. 74
30.80°, rel. 30
31.26°, rel. 100

```
Rb8Co3O8
1.0
10.294 -2.862 0.000
10.294 2.862 0.000
-2.621 0.000 7.982
Rb Co O
8 3 8
direct
0.030 0.030 0.242
0.198 0.198 0.800
0.329 0.329 0.534
0.394 0.394 0.058
0.606 0.606 0.942
0.671 0.671 0.466
0.802 0.802 0.200
0.970 0.970 0.758
0.187 0.187 0.196
0.500 0.500 0.500
0.813 0.813 0.804
0.113 0.113 0.016
0.178 0.178 0.398
0.270 0.270 0.172
0.481 0.481 0.686
0.519 0.519 0.314
0.730 0.730 0.828
0.822 0.822 0.602
0.887 0.887 0.984
```